1.
For MnTl5Se5, DFT lattice parameters and positions (GGA-PBE) gives the computed XRD peak list in this record (CuKα).

The 12 most intense peaks (2θ = 10–90°), by intensity:
31.2°, I 1000, hkl 3 1 1
31.7°, I 957, hkl 0 2 0
36.6°, I 794, hkl 3 1 -3
27.0°, I 726, hkl 4 0 -2
31.6°, I 687, hkl 2 0 2
23.7°, I 478, hkl 4 0 -1
25.1°, I 308, hkl 3 1 0
45.4°, I 302, hkl 2 2 2
28.5°, I 284, hkl 3 1 -2
40.0°, I 253, hkl 4 2 -1
49.2°, I 245, hkl 6 2 -2
24.0°, I 229, hkl 3 1 -1

Structural model:
Lattice parameters (Å, degrees): 15.0674 5.6392 8.2502 90.00 114.55 90.00
Space group C2/m (No. 12)
Unique sites:
Mn 0.0000 0.0000 0.0000 x2
Tl 0.0000 0.0000 0.5000 x2
Tl 0.1170 0.5000 0.7688 x4
Tl 0.2082 0.5000 0.2718 x4
Se 0.0000 0.5000 0.0000 x2
Se 0.1216 0.0000 0.3125 x4
Se 0.1492 0.0000 0.9447 x4

***

2.
For CsO2F2, DFT lattice parameters and positions (GGA-PBE) gives the computed XRD peak list in this record (CuKα).

The 12 most intense peaks (2θ = 10–90°), by intensity:
17.2°, I 1000, hkl 1 0 0
37.6°, I 919, hkl 1 1 1
34.7°, I 830, hkl 2 0 0
24.4°, I 782, hkl 1 1 0
33.2°, I 766, hkl 1 0 1
48.8°, I 508, hkl 2 1 1
64.1°, I 452, hkl 3 1 1
39.0°, I 274, hkl 2 1 0
49.9°, I 269, hkl 2 2 0
72.4°, I 265, hkl 3 2 1
61.2°, I 211, hkl 3 0 1
69.6°, I 180, hkl 2 0 2

Structural model:
Lattice parameters (Å, degrees): 5.1682 5.1682 3.1670 90.00 90.00 90.00
Space group P4/mmm (No. 123)
Unique sites:
Cs 0.0000 0.0000 0.0000 x1
O 0.5000 0.5000 0.0000 x1
O 0.5000 0.5000 0.5000 x1
F 0.0000 0.5000 0.5000 x2

***

3.
For Zr2V2Bi, DFT lattice parameters and positions (GGA-PBE) gives the computed XRD peak list in this record (CuKα).

The 12 most intense peaks (2θ = 10–90°), by intensity:
34.3°, I 1000, hkl 2 0 1
38.8°, I 468, hkl 3 1 0
36.5°, I 391, hkl 2 1 1
34.5°, I 345, hkl 2 2 0
29.6°, I 301, hkl 1 1 1
17.1°, I 226, hkl 1 1 0
70.1°, I 226, hkl 5 1 1
64.2°, I 214, hkl 3 1 2
58.9°, I 198, hkl 3 3 1
46.1°, I 183, hkl 3 1 1
49.0°, I 161, hkl 0 0 2
61.3°, I 132, hkl 2 2 2

Structural model:
Lattice parameters (Å, degrees): 7.3428 7.3428 3.7172 90.00 90.00 90.00
Space group P4/mbm (No. 127)
Unique sites:
Zr 0.1875 0.3125 0.0000 x4
V 0.1002 0.6002 0.5000 x4
Bi 0.0000 0.0000 0.5000 x2